(1)
Structure and calculated XRD peak list of MnAl2Os (a DFT-relaxed cell (PBE, Alexandria); Cu Kα (weighted mean of Kα1 and Kα2)).

Atomic structure:
abc: 5.3537 8.2292 2.7285
angles: 90.00 112.59 90.00
Atoms (fractional coordinates):
Mn  0.0000  0.0000  0.0000
Mn  0.5000  0.5000  0.0000
Al  0.2500  0.2500  0.5000
Al  0.2500  0.7500  0.5000
Al  0.7500  0.2500  0.5000
Al  0.7500  0.7500  0.5000
Os  0.0000  0.5000  0.0000
Os  0.5000  0.0000  0.0000

Principal peaks in the range 10° ≤ 2θ ≤ 80°, low angle first:
| 2theta | d_spacing | I/Imax |
| --- | --- | --- |
| 21.0 | 4.237 | 100 |
| 21.6 | 4.115 | 100 |
| 34.9 | 2.569 | 29 |
| 35.6 | 2.519 | 29 |
| 40.1 | 2.248 | 51 |
| 42.1 | 2.148 | 89 |
| 42.7 | 2.119 | 85 |
| 44.0 | 2.057 | 39 |
| 46.0 | 1.973 | 28 |
| 61.1 | 1.518 | 29 |


(2)
Structure and calculated XRD peak list of Mn2AlP (a DFT-relaxed cell (PBE, Alexandria); Cu Kα (weighted mean of Kα1 and Kα2)).

Atomic structure:
abc: 4.1375 2.7257 8.9098
angles: 90.00 90.00 90.00
Atoms (fractional coordinates):
Mn  0.0000  0.0000  0.0000
Mn  0.0000  0.5000  0.5000
Mn  0.5000  0.0000  0.3783
Mn  0.5000  0.5000  0.8783
Al  0.0000  0.0000  0.7357
Al  0.0000  0.5000  0.2357
P  0.5000  0.0000  0.1033
P  0.5000  0.5000  0.6033

Principal peaks in the range 10° ≤ 2θ ≤ 80°, low angle first:
| 2theta | d_spacing | I/Imax |
| --- | --- | --- |
| 19.9 | 4.455 | 29 |
| 29.5 | 3.032 | 14 |
| 34.4 | 2.606 | 16 |
| 40.9 | 2.205 | 100 |
| 43.8 | 2.069 | 49 |
| 45.1 | 2.008 | 53 |
| 46.3 | 1.961 | 77 |
| 50.5 | 1.807 | 14 |
| 64.7 | 1.441 | 34 |
| 78.5 | 1.219 | 13 |


(3)
Structure and calculated XRD peak list of PaMnAlS6 (a DFT-relaxed cell (PBE, Alexandria); Cu Kα (weighted mean of Kα1 and Kα2)).

Atomic structure:
abc: 6.0703 6.0703 5.8307
angles: 90.00 90.00 120.00
Atoms (fractional coordinates):
Pa  0.0000  0.0000  0.0000
Mn  0.3333  0.6667  0.5000
Al  0.6667  0.3333  0.5000
S  0.0071  0.3578  0.7288
S  0.0071  0.6493  0.2712
S  0.3507  0.3578  0.2712
S  0.3507  0.9929  0.7288
S  0.6422  0.6493  0.7288
S  0.6422  0.9929  0.2712

Principal peaks in the range 10° ≤ 2θ ≤ 80°, low angle first:
| 2theta | d_spacing | I/Imax |
| --- | --- | --- |
| 16.9 | 5.257 | 38 |
| 22.8 | 3.904 | 100 |
| 29.4 | 3.035 | 16 |
| 33.3 | 2.692 | 27 |
| 35.2 | 2.550 | 18 |
| 37.5 | 2.396 | 27 |
| 43.0 | 2.103 | 42 |
| 48.4 | 1.881 | 27 |
| 50.0 | 1.823 | 12 |
| 52.2 | 1.752 | 17 |


(4)
Structure and calculated XRD peak list of Mn3Al4Pd (a DFT-relaxed cell (PBE, Alexandria); Cu Kα (weighted mean of Kα1 and Kα2)).

Atomic structure:
abc: 3.4269 3.9435 7.9773
angles: 90.00 90.00 90.00
Atoms (fractional coordinates):
Mn  0.0000  0.0000  0.0000
Mn  0.0000  0.5000  0.2424
Mn  0.0000  0.5000  0.7576
Al  0.5000  0.0000  0.2433
Al  0.5000  0.0000  0.7567
Al  0.5000  0.5000  0.0000
Al  0.5000  0.5000  0.5000
Pd  0.0000  0.0000  0.5000

Principal peaks in the range 10° ≤ 2θ ≤ 80°, low angle first:
| 2theta | d_spacing | I/Imax |
| --- | --- | --- |
| 11.1 | 7.977 | 8 |
| 26.0 | 3.427 | 17 |
| 31.9 | 2.804 | 20 |
| 41.6 | 2.170 | 100 |
| 45.5 | 1.994 | 19 |
| 46.0 | 1.972 | 19 |
| 53.5 | 1.713 | 12 |
| 66.7 | 1.402 | 11 |
| 72.8 | 1.300 | 9 |
| 73.2 | 1.293 | 9 |


(5)
Structure and calculated XRD peak list of PuMnAl (a DFT-relaxed cell (PBE, Alexandria); Cu Kα (weighted mean of Kα1 and Kα2)).

Atomic structure:
abc: 4.4184 4.4184 5.9045
angles: 90.00 90.00 90.00
Atoms (fractional coordinates):
Pu  0.0000  0.5000  0.0000
Pu  0.5000  0.0000  0.5000
Mn  0.0000  0.0000  0.2500
Mn  0.0000  0.0000  0.7500
Al  0.0000  0.5000  0.5000
Al  0.5000  0.0000  0.0000

Principal peaks in the range 10° ≤ 2θ ≤ 80°, low angle first:
| 2theta | d_spacing | I/Imax |
| --- | --- | --- |
| 25.2 | 3.538 | 100 |
| 28.6 | 3.124 | 36 |
| 30.3 | 2.952 | 16 |
| 40.8 | 2.209 | 34 |
| 42.1 | 2.146 | 62 |
| 48.6 | 1.874 | 36 |
| 50.8 | 1.798 | 16 |
| 51.7 | 1.769 | 15 |
| 67.1 | 1.394 | 14 |
| 75.2 | 1.263 | 23 |


(6)
Structure and calculated XRD peak list of PuMnAl11 (a DFT-relaxed cell (PBE, Alexandria); Cu Kα (weighted mean of Kα1 and Kα2)).

Atomic structure:
abc: 6.8423 6.8423 7.0164
angles: 97.67 97.67 135.32
Atoms (fractional coordinates):
Pu  0.0000  0.0000  0.0000
Mn  0.5000  0.5000  0.5000
Al  0.0000  0.0000  0.5000
Al  0.0000  0.5000  0.0000
Al  0.0256  0.3678  0.3613
Al  0.2904  0.5018  0.7775
Al  0.3678  0.0256  0.3613
Al  0.4982  0.7096  0.2225
Al  0.5000  0.0000  0.0000
Al  0.5018  0.2904  0.7775
Al  0.6322  0.9744  0.6387
Al  0.7096  0.4982  0.2225
Al  0.9744  0.6322  0.6387

Principal peaks in the range 10° ≤ 2θ ≤ 80°, low angle first:
| 2theta | d_spacing | I/Imax |
| --- | --- | --- |
| 14.0 | 6.329 | 100 |
| 19.5 | 4.551 | 74 |
| 19.8 | 4.489 | 91 |
| 27.3 | 3.270 | 54 |
| 28.2 | 3.168 | 65 |
| 34.0 | 2.640 | 57 |
| 34.4 | 2.605 | 61 |
| 39.5 | 2.279 | 69 |
| 39.7 | 2.273 | 57 |
| 40.2 | 2.245 | 78 |


(7)
Structure and calculated XRD peak list of Pu3Mn3Al (a DFT-relaxed cell (PBE, Alexandria); Cu Kα (weighted mean of Kα1 and Kα2)).

Atomic structure:
abc: 4.6954 4.6954 13.9831
angles: 90.00 90.00 123.38
Atoms (fractional coordinates):
Pu  0.0208  0.9792  0.7500
Pu  0.3148  0.6852  0.6147
Pu  0.3148  0.6852  0.8853
Pu  0.6852  0.3148  0.1147
Pu  0.6852  0.3148  0.3853
Pu  0.9792  0.0208  0.2500
Mn  0.2601  0.7399  0.2500
Mn  0.4086  0.5914  0.0787
Mn  0.4086  0.5914  0.4213
Mn  0.5914  0.4086  0.5787
Mn  0.5914  0.4086  0.9213
Mn  0.7399  0.2601  0.7500
Al  0.0000  0.0000  0.0000
Al  0.0000  0.0000  0.5000

Principal peaks in the range 10° ≤ 2θ ≤ 80°, low angle first:
| 2theta | d_spacing | I/Imax |
| --- | --- | --- |
| 23.6 | 3.775 | 59 |
| 26.1 | 3.420 | 69 |
| 29.8 | 3.000 | 67 |
| 33.6 | 2.669 | 57 |
| 34.4 | 2.609 | 100 |
| 38.4 | 2.343 | 84 |
| 40.5 | 2.226 | 63 |
| 43.2 | 2.094 | 36 |
| 51.3 | 1.780 | 28 |
| 53.6 | 1.710 | 32 |


(8)
Structure and calculated XRD peak list of MnAlRh4 (a DFT-relaxed cell (PBE, Alexandria); Cu Kα (weighted mean of Kα1 and Kα2)).

Atomic structure:
abc: 5.0941 5.0941 5.0941
angles: 60.00 60.00 60.00
Atoms (fractional coordinates):
Mn  0.0000  0.0000  0.0000
Al  0.2500  0.2500  0.2500
Rh  0.1252  0.6249  0.6249
Rh  0.6249  0.1252  0.6249
Rh  0.6249  0.6249  0.1252
Rh  0.6249  0.6249  0.6249

Principal peaks in the range 10° ≤ 2θ ≤ 80°, low angle first:
| 2theta | d_spacing | I/Imax |
| --- | --- | --- |
| 21.4 | 4.159 | 62 |
| 35.2 | 2.547 | 8 |
| 41.6 | 2.172 | 100 |
| 43.5 | 2.080 | 72 |
| 50.7 | 1.801 | 22 |
| 55.6 | 1.653 | 14 |
| 63.2 | 1.471 | 2 |
| 67.6 | 1.386 | 30 |
| 74.5 | 1.274 | 30 |
| 78.6 | 1.218 | 10 |


(9)
Structure and calculated XRD peak list of Ti2MnAl5Rh2 (a DFT-relaxed cell (PBE, Alexandria); Cu Kα (weighted mean of Kα1 and Kα2)).

Atomic structure:
abc: 8.8137 8.8137 4.0148
angles: 90.00 90.00 90.00
Atoms (fractional coordinates):
Ti  0.1754  0.3246  0.0000
Ti  0.3246  0.8246  0.0000
Ti  0.6754  0.1754  0.0000
Ti  0.8246  0.6754  0.0000
Mn  0.0000  0.0000  0.0000
Mn  0.5000  0.5000  0.0000
Al  0.0000  0.5000  0.5000
Al  0.0691  0.7980  0.5000
Al  0.2020  0.0691  0.5000
Al  0.2980  0.5691  0.5000
Al  0.4309  0.2980  0.5000
Al  0.5000  0.0000  0.5000
Al  0.5691  0.7020  0.5000
Al  0.7020  0.4309  0.5000
Al  0.7980  0.9309  0.5000
Al  0.9309  0.2020  0.5000
Rh  0.1219  0.6219  0.0000
Rh  0.3781  0.1219  0.0000
Rh  0.6219  0.8781  0.0000
Rh  0.8781  0.3781  0.0000

Principal peaks in the range 10° ≤ 2θ ≤ 80°, low angle first:
| 2theta | d_spacing | I/Imax |
| --- | --- | --- |
| 14.2 | 6.232 | 24 |
| 22.1 | 4.015 | 43 |
| 22.6 | 3.942 | 35 |
| 32.1 | 2.787 | 25 |
| 36.5 | 2.462 | 13 |
| 39.4 | 2.290 | 100 |
| 42.3 | 2.138 | 16 |
| 43.3 | 2.088 | 57 |
| 45.2 | 2.007 | 30 |
| 47.0 | 1.932 | 21 |


(10)
Structure and calculated XRD peak list of Mn2AlS4 (a DFT-relaxed cell (PBE, Alexandria); Cu Kα (weighted mean of Kα1 and Kα2)).

Atomic structure:
abc: 6.9992 6.9992 6.9992
angles: 120.30 118.33 91.20
Atoms (fractional coordinates):
Mn  0.0000  0.0000  0.0000
Mn  0.5000  0.0000  0.0000
Mn  0.5000  0.0000  0.5000
Mn  0.5000  0.5000  0.5000
Al  0.0000  0.5000  0.5000
Al  0.5000  0.5000  0.0000
S  0.2598  0.2692  0.5094
S  0.2598  0.7505  0.9906
S  0.2702  0.7438  0.5264
S  0.2827  0.2562  0.0264
S  0.7173  0.7438  0.9736
S  0.7298  0.2562  0.4736
S  0.7402  0.2495  0.0094
S  0.7402  0.7308  0.4906

Principal peaks in the range 10° ≤ 2θ ≤ 80°, low angle first:
| 2theta | d_spacing | I/Imax |
| --- | --- | --- |
| 15.3 | 5.788 | 65 |
| 29.9 | 2.985 | 11 |
| 35.9 | 2.499 | 100 |
| 36.7 | 2.449 | 47 |
| 47.0 | 1.933 | 10 |
| 50.9 | 1.794 | 16 |
| 52.3 | 1.749 | 60 |
| 52.5 | 1.742 | 15 |
| 64.4 | 1.447 | 14 |
| 65.8 | 1.419 | 17 |


(11)
Structure and calculated XRD peak list of Sc2MnAl (a DFT-relaxed cell (PBE, Alexandria); Cu Kα (weighted mean of Kα1 and Kα2)).

Atomic structure:
abc: 4.4571 3.1978 10.8351
angles: 90.00 90.00 90.00
Atoms (fractional coordinates):
Sc  0.0000  0.0000  0.0000
Sc  0.0000  0.5000  0.5000
Sc  0.5000  0.0000  0.3145
Sc  0.5000  0.5000  0.8145
Mn  0.0000  0.0000  0.7239
Mn  0.0000  0.5000  0.2239
Al  0.5000  0.0000  0.5915
Al  0.5000  0.5000  0.0915

Principal peaks in the range 10° ≤ 2θ ≤ 80°, low angle first:
| 2theta | d_spacing | I/Imax |
| --- | --- | --- |
| 16.4 | 5.418 | 13 |
| 33.1 | 2.709 | 14 |
| 35.5 | 2.527 | 100 |
| 37.6 | 2.394 | 47 |
| 38.9 | 2.315 | 67 |
| 40.5 | 2.229 | 41 |
| 42.9 | 2.109 | 42 |
| 56.4 | 1.631 | 26 |
| 57.7 | 1.599 | 13 |
| 71.7 | 1.316 | 19 |


(12)
Structure and calculated XRD peak list of ScMn4Al8 (a DFT-relaxed cell (PBE, Alexandria); Cu Kα (weighted mean of Kα1 and Kα2)).

Atomic structure:
abc: 6.6205 6.6205 6.6205
angles: 97.91 97.91 136.44
Atoms (fractional coordinates):
Sc  0.0000  0.0000  0.0000
Mn  0.0000  0.0000  0.5000
Mn  0.0000  0.5000  0.0000
Mn  0.5000  0.0000  0.0000
Mn  0.5000  0.5000  0.5000
Al  0.0000  0.3376  0.3376
Al  0.0000  0.6624  0.6624
Al  0.2848  0.5000  0.7848
Al  0.3376  0.0000  0.3376
Al  0.5000  0.2848  0.7848
Al  0.5000  0.7152  0.2152
Al  0.6624  0.0000  0.6624
Al  0.7152  0.5000  0.2152

Principal peaks in the range 10° ≤ 2θ ≤ 80°, low angle first:
| 2theta | d_spacing | I/Imax |
| --- | --- | --- |
| 20.4 | 4.347 | 81 |
| 29.0 | 3.074 | 24 |
| 36.0 | 2.496 | 30 |
| 41.5 | 2.174 | 83 |
| 41.7 | 2.165 | 55 |
| 42.3 | 2.139 | 100 |
| 46.7 | 1.944 | 50 |
| 47.4 | 1.919 | 82 |
| 60.8 | 1.524 | 25 |
| 76.3 | 1.248 | 29 |